[1]
Starting from a crystal structure in Alexandria, relaxed with PBE, the XRD peak list of Ba8Ho3Pt4O18 was computed for a wavelength of 1.5418 Å.

Atomic structure:
Lattice parameters (Å, degrees): 8.4630 8.4630 8.4630 90.00 90.00 90.00
Space group Pm-3m (No. 221)
One atom of each set of equivalent atoms:
Ba 0.2371 0.2371 0.2371
Ho 0.0000 0.0000 0.5000
Pt 0.0000 0.0000 0.0000
Pt 0.0000 0.5000 0.5000
O 0.0000 0.0000 0.2394
O 0.0000 0.2610 0.5000

Largest 12 diffraction maxima, in order of falling intensity, 2θ from 10° to 90°:
- 2θ 29.9, I 100.0
- 2θ 53.0, I 38.9
- 2θ 42.7, I 25.4
- 2θ 85.9, I 18.9
- 2θ 70.4, I 16.3
- 2θ 62.0, I 15.6
- 2θ 10.5, I 12.4
- 2θ 78.3, I 5.1
- 2θ 18.2, I 4.1
- 2θ 14.8, I 4.0
- 2θ 38.3, I 3.8
- 2θ 21.0, I 2.5

[2]
Starting from a crystal structure in Alexandria, relaxed with PBE, the XRD peak list of MnAg3 was computed for a wavelength of 1.5418 Å.

Atomic structure:
Lattice parameters (Å, degrees): 5.0314 9.4205 5.8693 90.00 90.00 90.00
Space group Pnma (No. 62)
One atom of each set of equivalent atoms:
Mn 0.0874 0.2500 0.1136
Ag 0.0838 0.2500 0.6147
Ag 0.2465 0.5038 0.8699

Largest 12 diffraction maxima, in order of falling intensity, 2θ from 10° to 90°:
- 2θ 40.4, I 100.0
- 2θ 40.7, I 48.0
- 2θ 38.2, I 47.4
- 2θ 36.7, I 28.5
- 2θ 77.0, I 21.7
- 2θ 63.9, I 19.0
- 2θ 70.6, I 17.4
- 2θ 35.4, I 14.8
- 2θ 37.0, I 14.8
- 2θ 46.0, I 14.5
- 2θ 78.1, I 12.6
- 2θ 76.5, I 10.8